# 1
Starting from a cell relaxed with PBE, the X-ray powder pattern of Ce3Zn6Ag5 was calculated for Cu Kα, 1.54184 Å.
No peak broadening, texture or thermal motion is included.

Main lines, sorted by position (2θ from 10° to 80°):
2θ/deg  I/Imax
28.06  59
33.05  56
34.13  100
34.72  55
34.95  82
35.24  46
37.55  62
39.58  86

Crystal structure
Cell: 8.4453 8.4453 8.4453 Å, 148.72 112.98 75.81°
Positions (direct):
1 Ce 0.0000 0.0000 0.0000
2 Ce 0.2930 0.2930 0.0000
3 Ce 0.7070 0.7070 0.0000
4 Zn 0.1554 0.8639 0.2914
5 Zn 0.3243 0.5000 0.8243
6 Zn 0.4275 0.1361 0.2914
7 Zn 0.5725 0.8639 0.7086
8 Zn 0.6757 0.5000 0.1757
9 Zn 0.8446 0.1361 0.7086
10 Ag 0.0102 0.6587 0.3514
11 Ag 0.3073 0.6587 0.6486
12 Ag 0.5000 0.0000 0.5000
13 Ag 0.6927 0.3413 0.3514
14 Ag 0.9898 0.3413 0.6486


# 2
Starting from a cell relaxed with PBE, the X-ray powder pattern of Ce2Zn10Ag was calculated for Cu Kα, 1.54184 Å.
No peak broadening, texture or thermal motion is included.

Main lines, sorted by position (2θ from 10° to 80°):
2θ/deg  I/Imax
34.69  100
34.93  36
35.47  85
36.41  31
37.24  75
38.00  23
39.02  45
41.20  81

Crystal structure
Cell: 5.8037 7.4723 11.5967 Å, 89.99 90.00 72.65°
Positions (direct):
1 Ce 0.2129 0.3128 0.1089
2 Ce 0.2868 0.1874 0.6091
3 Ce 0.7132 0.8126 0.3909
4 Ce 0.7871 0.6872 0.8911
5 Zn 0.0413 0.6173 0.6448
6 Zn 0.0587 0.2610 0.8499
7 Zn 0.1519 0.0158 0.3167
8 Zn 0.1933 0.8414 0.5087
9 Zn 0.2371 0.8704 0.8050
10 Zn 0.2634 0.6292 0.3047
11 Zn 0.3069 0.6588 0.0089
12 Zn 0.3481 0.4836 0.8173
13 Zn 0.4410 0.2389 0.3498
14 Zn 0.4595 0.8834 0.1442
15 Zn 0.5405 0.1166 0.8558
16 Zn 0.5590 0.7611 0.6502
17 Zn 0.6519 0.5164 0.1827
18 Zn 0.6931 0.3412 0.9911
19 Zn 0.7366 0.3708 0.6953
20 Zn 0.7629 0.1296 0.1950
21 Zn 0.8067 0.1586 0.4913
22 Zn 0.8481 0.9842 0.6833
23 Zn 0.9413 0.7390 0.1501
24 Zn 0.9587 0.3827 0.3552
25 Ag 0.0000 0.0000 0.0000
26 Ag 0.5000 0.5000 0.5000


# 3
Starting from a cell relaxed with PBE, the X-ray powder pattern of Ce3Zn3Ag2 was calculated for Cu Kα, 1.54184 Å.
No peak broadening, texture or thermal motion is included.

Main lines, sorted by position (2θ from 10° to 80°):
2θ/deg  I/Imax
32.37  47
35.68  17
37.44  100
37.56  56
41.09  11
52.77  11
54.18  14
67.71  19

Crystal structure
Cell: 5.6454 5.6454 14.3642 Å, 90.00 90.00 129.81°
Positions (direct):
1 Ce 0.0900 0.9100 0.6134
2 Ce 0.0900 0.9100 0.8866
3 Ce 0.2843 0.7157 0.7500
4 Ce 0.7157 0.2843 0.2500
5 Ce 0.9100 0.0900 0.1134
6 Ce 0.9100 0.0900 0.3866
7 Zn 0.3975 0.6025 0.5496
8 Zn 0.3975 0.6025 0.9504
9 Zn 0.4049 0.5951 0.2500
10 Zn 0.5951 0.4049 0.7500
11 Zn 0.6025 0.3975 0.0496
12 Zn 0.6025 0.3975 0.4504
13 Ag 0.2140 0.7860 0.0988
14 Ag 0.2140 0.7860 0.4012
15 Ag 0.7860 0.2140 0.5988
16 Ag 0.7860 0.2140 0.9012


# 4
Starting from a cell relaxed with PBE, the X-ray powder pattern of CeZnAg was calculated for Cu Kα, 1.54184 Å.
No peak broadening, texture or thermal motion is included.

Main lines, sorted by position (2θ from 10° to 80°):
2θ/deg  I/Imax
21.47  11
34.98  100
37.65  78
52.33  31
56.28  8
66.24  30
67.96  13
69.71  24

Crystal structure
Cell: 4.7782 4.7782 3.2690 Å, 90.00 90.00 120.00°
Positions (direct):
1 Ce 0.0000 0.0000 0.0000
2 Zn 0.3333 0.6667 0.5000
3 Ag 0.6667 0.3333 0.5000


# 5
Starting from a cell relaxed with PBE, the X-ray powder pattern of CeZrZnAg was calculated for Cu Kα, 1.54184 Å.
No peak broadening, texture or thermal motion is included.

Main lines, sorted by position (2θ from 10° to 80°):
2θ/deg  I/Imax
21.66  5
25.06  2
35.73  100
42.16  3
51.42  17
56.43  1
64.19  34
75.69  11

Crystal structure
Cell: 5.0262 5.0262 5.0262 Å, 60.00 60.00 60.00°
Positions (direct):
1 Ce 0.0000 0.0000 0.0000
2 Zr 0.5000 0.5000 0.5000
3 Zn 0.2500 0.2500 0.2500
4 Ag 0.7500 0.7500 0.7500


# 6
Starting from a cell relaxed with PBE, the X-ray powder pattern of AgCl5 was calculated for Cu Kα, 1.54184 Å.
No peak broadening, texture or thermal motion is included.

Main lines, sorted by position (2θ from 10° to 80°):
2θ/deg  I/Imax
20.96  30
22.20  36
24.39  86
26.87  100
27.25  78
31.97  36
40.30  36
44.16  28

Crystal structure
Cell: 4.7108 4.7108 11.5935 Å, 107.22 107.22 51.63°
Positions (direct):
1 Ag 0.0000 0.0000 0.0000
2 Cl 0.0457 0.0457 0.6529
3 Cl 0.2945 0.2945 0.7005
4 Cl 0.5778 0.5778 0.3817
5 Cl 0.6313 0.6313 0.2239
6 Cl 0.6900 0.6900 0.9841


# 7
Starting from a cell relaxed with PBE, the X-ray powder pattern of AgCl was calculated for Cu Kα, 1.54184 Å.
No peak broadening, texture or thermal motion is included.

Main lines, sorted by position (2θ from 10° to 80°):
2θ/deg  I/Imax
27.61  38
31.95  100
45.73  35
45.89  34
54.35  18
57.00  17
75.85  14
76.07  14

Crystal structure
Cell: 3.9677 3.9677 3.9677 Å, 59.79 59.79 59.79°
Positions (direct):
1 Ag 0.0000 0.0000 0.0000
2 Cl 0.5000 0.5000 0.5000


# 8
Starting from a cell relaxed with PBE, the X-ray powder pattern of AgCl was calculated for Cu Kα, 1.54184 Å.
No peak broadening, texture or thermal motion is included.

Main lines, sorted by position (2θ from 10° to 80°):
2θ/deg  I/Imax
12.87  70
25.19  21
30.34  100
39.56  23
43.19  22
43.68  42
45.73  18
54.11  18

Crystal structure
Cell: 7.2819 7.2819 7.2819 Å, 33.06 33.06 33.06°
Positions (direct):
1 Ag 0.1222 0.1222 0.1222
2 Ag 0.8778 0.8778 0.8778
3 Cl 0.4109 0.4109 0.4109
4 Cl 0.5891 0.5891 0.5891